Na3GaAg4: theoretical powder diffractogram (Cu Kα, 1.54184 Å), based on a cell relaxed with PBE.
Kinematic intensities with the Lorentz-polarization factor, no thermal factor.

Peak list (6 most intense, 10 to 90 degrees two-theta, in order of falling intensity)
2θ 38.50, rel. 100
2θ 18.99, rel. 94
2θ 15.93, rel. 77
2θ 34.39, rel. 51
2θ 35.26, rel. 51
2θ 32.19, rel. 49

Structure:
```
Na3GaAg4
1.0
5.904 0.000 0.000
0.000 8.098 0.000
0.000 0.000 7.652
Na Ga Ag
6 2 8
Direct
0.000 0.000 0.000
0.000 0.307 0.261
0.000 0.693 0.261
0.500 0.193 0.761
0.500 0.500 0.500
0.500 0.807 0.761
0.000 0.500 0.626
0.500 0.000 0.126
0.000 0.183 0.655
0.000 0.817 0.655
0.245 0.500 0.910
0.255 0.000 0.410
0.500 0.317 0.155
0.500 0.683 0.155
0.745 0.000 0.410
0.755 0.500 0.910
```



Na4CeHg15: theoretical powder diffractogram (Cu Kα, 1.54184 Å), based on a cell relaxed with PBE.
Kinematic intensities with the Lorentz-polarization factor, no thermal factor.

Peak list (6 most intense, 10 to 90 degrees two-theta, in order of falling intensity)
2θ 32.94, rel. 100
2θ 38.04, rel. 34
2θ 65.51, rel. 28
2θ 55.30, rel. 23
2θ 38.59, rel. 16
2θ 66.27, rel. 14

Structure:
```
Na4CeHg15
1.0
4.732 0.000 0.000
0.000 4.732 0.000
0.000 0.000 23.331
Na Ce Hg
4 1 15
Direct
0.000 0.000 0.100
0.000 0.000 0.299
0.000 0.000 0.701
0.000 0.000 0.900
0.000 0.000 0.500
0.000 0.500 0.000
0.000 0.500 0.200
0.000 0.500 0.399
0.000 0.500 0.601
0.000 0.500 0.800
0.500 0.000 0.000
0.500 0.000 0.200
0.500 0.000 0.399
0.500 0.000 0.601
0.500 0.000 0.800
0.500 0.500 0.100
0.500 0.500 0.302
0.500 0.500 0.500
0.500 0.500 0.698
0.500 0.500 0.900
```



Na3UNi2Se6: theoretical powder diffractogram (Cu Kα, 1.54184 Å), based on a cell relaxed with PBE.
Kinematic intensities with the Lorentz-polarization factor, no thermal factor.

Peak list (6 most intense, 10 to 90 degrees two-theta, in order of falling intensity)
2θ 12.45, rel. 100
2θ 32.33, rel. 96
2θ 43.94, rel. 50
2θ 32.18, rel. 49
2θ 48.49, rel. 31
2θ 40.65, rel. 21

Structure:
```
Na3UNi2Se6
1.0
3.256 -5.608 0.000
3.256 5.608 0.000
-2.186 0.000 7.111
Na U Ni Se
3 1 2 6
Direct
0.000 0.000 0.000
0.340 0.660 0.000
0.660 0.340 0.000
0.500 0.500 0.500
0.168 0.832 0.500
0.832 0.168 0.500
0.075 0.432 0.291
0.211 0.211 0.706
0.432 0.075 0.291
0.568 0.925 0.709
0.789 0.789 0.294
0.925 0.568 0.709
```



DyTmTh3: theoretical powder diffractogram (Cu Kα, 1.54184 Å), based on a cell relaxed with PBE.
Kinematic intensities with the Lorentz-polarization factor, no thermal factor.

Peak list (6 most intense, 10 to 90 degrees two-theta, in order of falling intensity)
2θ 31.96, rel. 100
2θ 29.16, rel. 77
2θ 55.23, rel. 27
2θ 43.80, rel. 26
2θ 56.95, rel. 21
2θ 57.08, rel. 16

Structure:
```
DyTmTh3
1.0
4.851 2.801 3.948
-4.851 2.801 3.948
0.000 -5.602 3.948
Dy Tm Th
2 2 6
Direct
0.125 0.125 0.125
0.875 0.875 0.875
0.375 0.375 0.375
0.625 0.625 0.625
0.085 0.415 0.750
0.250 0.915 0.585
0.415 0.750 0.085
0.585 0.250 0.915
0.750 0.085 0.415
0.915 0.585 0.250
```



Er5Pd: theoretical powder diffractogram (Cu Kα, 1.54184 Å), based on a cell relaxed with PBE.
Kinematic intensities with the Lorentz-polarization factor, no thermal factor.

Peak list (6 most intense, 10 to 90 degrees two-theta, in order of falling intensity)
2θ 33.54, rel. 100
2θ 33.26, rel. 48
2θ 59.57, rel. 19
2θ 60.15, rel. 18
2θ 47.76, rel. 15
2θ 59.68, rel. 11

Structure:
```
Er5Pd
1.0
3.748 0.000 0.000
0.000 16.139 0.000
0.000 0.000 5.393
Er Pd
10 2
Direct
0.000 0.000 0.000
0.000 0.143 0.500
0.000 0.330 0.000
0.000 0.670 0.000
0.000 0.857 0.500
0.500 0.170 0.000
0.500 0.357 0.500
0.500 0.500 0.000
0.500 0.643 0.500
0.500 0.830 0.000
0.000 0.500 0.500
0.500 0.000 0.500
```



ErCu6Au6: theoretical powder diffractogram (Cu Kα, 1.54184 Å), based on a cell relaxed with PBE.
Kinematic intensities with the Lorentz-polarization factor, no thermal factor.

Peak list (6 most intense, 10 to 90 degrees two-theta, in order of falling intensity)
2θ 40.18, rel. 100
2θ 34.67, rel. 79
2θ 72.85, rel. 43
2θ 40.30, rel. 41
2θ 34.77, rel. 40
2θ 45.27, rel. 39

Structure:
```
ErCu6Au6
1.0
-2.580 4.486 4.504
2.580 -4.486 4.504
2.580 4.486 -4.504
Er Cu Au
1 6 6
Direct
0.000 0.000 0.000
0.000 0.000 0.500
0.000 0.500 0.000
0.239 0.739 0.500
0.500 0.000 0.000
0.500 0.500 0.500
0.761 0.261 0.500
0.181 0.500 0.681
0.334 0.334 0.000
0.340 0.000 0.340
0.660 0.000 0.660
0.666 0.666 0.000
0.819 0.500 0.319
```



HoPd12Pt7: theoretical powder diffractogram (Cu Kα, 1.54184 Å), based on a cell relaxed with PBE.
Kinematic intensities with the Lorentz-polarization factor, no thermal factor.

Peak list (6 most intense, 10 to 90 degrees two-theta, in order of falling intensity)
2θ 47.26, rel. 100
2θ 26.76, rel. 75
2θ 75.52, rel. 49
2θ 38.21, rel. 49
2θ 42.93, rel. 23
2θ 35.66, rel. 18

Structure:
```
HoPd12Pt7
1.0
-4.711 4.711 4.711
4.711 -4.711 4.711
4.711 4.711 -4.711
Ho Pd Pt
1 12 7
Direct
0.000 0.000 0.000
0.124 0.269 0.854
0.146 0.415 0.269
0.146 0.876 0.731
0.269 0.146 0.415
0.269 0.854 0.124
0.415 0.269 0.146
0.585 0.731 0.854
0.731 0.146 0.876
0.731 0.854 0.585
0.854 0.124 0.269
0.854 0.585 0.731
0.876 0.731 0.146
0.000 0.000 0.500
0.000 0.500 0.000
0.000 0.500 0.500
0.500 0.000 0.000
0.500 0.000 0.500
0.500 0.500 0.000
0.500 0.500 0.500
```



Li3V2Rh4: theoretical powder diffractogram (Cu Kα, 1.54184 Å), based on a cell relaxed with PBE.
Kinematic intensities with the Lorentz-polarization factor, no thermal factor.

Peak list (6 most intense, 10 to 90 degrees two-theta, in order of falling intensity)
2θ 42.45, rel. 100
2θ 43.81, rel. 91
2θ 27.33, rel. 80
2θ 33.70, rel. 36
2θ 62.65, rel. 30
2θ 79.57, rel. 30

Structure:
```
Li3V2Rh4
1.0
4.133 0.000 0.000
-2.066 3.579 0.000
0.000 0.000 7.947
Li V Rh
3 2 4
Direct
0.000 0.000 0.000
0.333 0.667 0.448
0.667 0.333 0.552
0.333 0.667 0.784
0.667 0.333 0.216
0.000 0.000 0.329
0.000 0.000 0.671
0.333 0.667 0.109
0.667 0.333 0.891
```